(1)
Starting from a GGA-PBE-relaxed structure, the powder diffraction line list of Mn2Cr5H4 was simulated for Cu Kα X-rays.
Kinematic intensities with the Lorentz-polarization factor, no thermal factor.

Main lines, in order of falling intensity (10° ≤ 2θ ≤ 90°):
- d = 2.126 Å, 42.52°, I 100, (-1 1 1)
- d = 2.120 Å, 42.65°, I 50, (0 1 3)
- d = 2.145 Å, 42.13°, I 49, (0 2 -1)
- d = 1.841 Å, 49.52°, I 32, (1 0 2)
- d = 1.857 Å, 49.06°, I 32, (0 3 2)
- d = 1.834 Å, 49.71°, I 31, (1 1 -2)
- d = 1.302 Å, 72.63°, I 17, (1 3 4)
- d = 1.108 Å, 88.19°, I 15, (2 2 3)
- d = 1.105 Å, 88.49°, I 10, (2 0 -3)
- d = 1.117 Å, 87.27°, I 9, (-1 4 3)

Structure:
```
data_Mn2Cr5H4
_space_group_name_H-M_alt 'P -1'
_space_group_IT_number 2
_space_group_name_Hall '-P 1'
_cell_length_a 2.593
_cell_length_b 5.881
_cell_length_c 6.359
_cell_angle_alpha 68.63
_cell_angle_beta 89.83
_cell_angle_gamma 77.32
loop_
_atom_site_label
_atom_site_fract_x
_atom_site_fract_y
_atom_site_fract_z
Mn1 0.074 0.355 0.207
Cr1 0.214 0.072 0.646
Cr2 0.370 0.753 0.086
Cr3 0.500 0.500 0.500
H1 0.218 0.067 0.134
H2 0.357 0.784 0.576
```

***

(2)
Starting from a GGA-PBE-relaxed structure, the powder diffraction line list of Li2NpAlH8 was simulated for Cu Kα X-rays.
Kinematic intensities with the Lorentz-polarization factor, no thermal factor.

Main lines, in order of falling intensity (10° ≤ 2θ ≤ 90°):
- d = 5.252 Å, 16.88°, I 100, (0 1 0)
- d = 5.609 Å, 15.80°, I 73, (0 0 1)
- d = 4.063 Å, 21.87°, I 34, (0 1 1)
- d = 3.342 Å, 26.67°, I 34, (1 0 0)
- d = 2.594 Å, 34.58°, I 31, (0 1 2)
- d = 2.367 Å, 38.01°, I 29, (0 1 -2)
- d = 3.639 Å, 24.46°, I 28, (0 1 -1)
- d = 2.487 Å, 36.12°, I 27, (1 0 2)
- d = 2.869 Å, 31.17°, I 24, (1 1 0)
- d = 2.773 Å, 32.29°, I 23, (1 -1 0)

Structure:
```
data_Li2NpAlH8
_space_group_name_H-M_alt 'P -1'
_space_group_IT_number 2
_space_group_name_Hall '-P 1'
_cell_length_a 3.468
_cell_length_b 5.296
_cell_length_c 5.851
_cell_angle_alpha 82.87
_cell_angle_beta 74.69
_cell_angle_gamma 86.05
loop_
_atom_site_label
_atom_site_fract_x
_atom_site_fract_y
_atom_site_fract_z
Li1 0.148 0.047 0.248
Np1 0.500 0.500 0.500
Al1 0.500 0.500 0.000
H1 0.017 0.221 0.527
H2 0.106 0.500 0.250
H3 0.343 0.745 0.802
H4 0.366 0.249 0.862
```

***

(3)
Starting from a GGA-PBE-relaxed structure, the powder diffraction line list of Zr8ZnN4 was simulated for Cu Kα X-rays.
Kinematic intensities with the Lorentz-polarization factor, no thermal factor.

Main lines, in order of falling intensity (10° ≤ 2θ ≤ 90°):
- d = 2.492 Å, 36.03°, I 100, (3 1 0)
- d = 2.682 Å, 33.41°, I 42, (6 0 -3)
- d = 2.544 Å, 35.28°, I 20, (2 0 -4)
- d = 1.565 Å, 59.01°, I 19, (1 1 4)
- d = 1.509 Å, 61.44°, I 16, (9 1 -3)
- d = 1.896 Å, 47.98°, I 13, (6 0 -6)
- d = 2.231 Å, 40.42°, I 12, (4 0 1)
- d = 1.407 Å, 66.43°, I 11, (6 2 -3)
- d = 1.653 Å, 55.58°, I 9, (0 2 0)
- d = 2.119 Å, 42.68°, I 9, (5 1 -1)

Structure:
```
data_Zr8ZnN4
_space_group_name_H-M_alt 'C 1 2/m 1'
_space_group_IT_number 12
_space_group_name_Hall '-C 2y'
_cell_length_a 16.085
_cell_length_b 3.307
_cell_length_c 11.372
_cell_angle_alpha 90.00
_cell_angle_beta 134.96
_cell_angle_gamma 90.00
loop_
_atom_site_label
_atom_site_fract_x
_atom_site_fract_y
_atom_site_fract_z
Zr1 0.041 0.000 0.202
Zr2 0.145 0.500 0.827
Zr3 0.160 0.500 0.119
Zr4 0.182 0.500 0.537
Zn1 0.000 0.000 0.500
N1 0.155 0.000 0.972
N2 0.182 0.500 0.337
```